Entry 1:
Simulated powder diffractogram of LiMg6C for Cu Kα X-rays, from DFT lattice parameters and positions (PBE).

Cell and atoms:
```
LiMg6C
1.0
3.7694 0.0000 0.0000
0.0000 8.6071 0.0000
0.0000 0.0000 9.6134
Li Mg C
2 12 2
Cartesian
0.0000 0.0000 0.0000
0.0000 4.3036 4.8067
0.0000 2.1184 7.1882
0.0000 2.1852 2.3815
0.0000 6.4219 2.3815
0.0000 6.4887 7.1882
1.8847 0.0000 2.0577
1.8847 0.0000 7.5057
1.8847 1.4942 4.8949
1.8847 2.8094 0.0882
1.8847 4.3036 2.6990
1.8847 4.3036 6.8644
1.8847 5.7977 0.0882
1.8847 7.1129 4.8949
0.0000 0.0000 6.2817
0.0000 4.3036 1.4750
```

Top 6 peaks for 5° ≤ 2θ ≤ 70°, low angle first:
- (0 0 2), d = 4.807 Å, I 24
- (1 2 2), d = 2.442 Å, I 100
- (0 0 4), d = 2.403 Å, I 25
- (1 1 3), d = 2.349 Å, I 25
- (0 4 2), d = 1.964 Å, I 20
- (2 0 0), d = 1.885 Å, I 19

Entry 2:
Simulated powder diffractogram of AuSe for Cu Kα X-rays, from DFT lattice parameters and positions (PBE).

Cell and atoms:
```
AuSe
1.0
5.9700 0.0000 0.0000
0.0000 3.7824 0.0000
0.0000 0.0000 8.4017
Au Se
4 4
Cartesian
0.4403 0.9456 1.9764
2.5447 2.8368 6.1772
3.4253 0.9456 2.2245
5.5297 2.8368 6.4253
1.1743 0.9456 7.4416
1.8108 2.8368 3.2407
4.1593 0.9456 5.1609
4.7958 2.8368 0.9601
```

Top 6 peaks for 5° ≤ 2θ ≤ 70°, low angle first:
- (0 0 2), d = 4.201 Å, I 100
- (0 1 1), d = 3.449 Å, I 76
- (2 1 0), d = 2.343 Å, I 58
- (2 1 1), d = 2.257 Å, I 61
- (0 1 3), d = 2.251 Å, I 78
- (2 0 3), d = 2.045 Å, I 73

Entry 3:
Simulated powder diffractogram of Ga2AsPb2 for Cu Kα X-rays, from DFT lattice parameters and positions (PBE).

Cell and atoms:
```
Ga2AsPb2
1.0
6.9299 0.0000 0.0000
0.0000 6.9299 0.0000
0.0000 0.0000 5.2003
Ga As Pb
4 2 4
Cartesian
0.9317 2.5333 0.0000
2.5333 5.9982 0.0000
4.3966 0.9317 0.0000
5.9982 4.3966 0.0000
0.0000 0.0000 0.0000
3.4649 3.4649 0.0000
1.2593 4.7243 2.6002
2.2056 1.2593 2.6002
4.7243 5.6706 2.6002
5.6706 2.2056 2.6002
```

Top 6 peaks for 5° ≤ 2θ ≤ 70°, low angle first:
- (2 0 1), d = 2.884 Å, I 43
- (2 1 1), d = 2.662 Å, I 100
- (0 0 2), d = 2.600 Å, I 31
- (3 1 0), d = 2.191 Å, I 19
- (4 1 1), d = 1.599 Å, I 22
- (2 1 3), d = 1.513 Å, I 18

Please write out number 1 again, unchanged.
Simulated powder diffractogram of LiMg6C for Cu Kα X-rays, from DFT lattice parameters and positions (PBE).

Cell and atoms:
```
LiMg6C
1.0
3.7694 0.0000 0.0000
0.0000 8.6071 0.0000
0.0000 0.0000 9.6134
Li Mg C
2 12 2
Cartesian
0.0000 0.0000 0.0000
0.0000 4.3036 4.8067
0.0000 2.1184 7.1882
0.0000 2.1852 2.3815
0.0000 6.4219 2.3815
0.0000 6.4887 7.1882
1.8847 0.0000 2.0577
1.8847 0.0000 7.5057
1.8847 1.4942 4.8949
1.8847 2.8094 0.0882
1.8847 4.3036 2.6990
1.8847 4.3036 6.8644
1.8847 5.7977 0.0882
1.8847 7.1129 4.8949
0.0000 0.0000 6.2817
0.0000 4.3036 1.4750
```

Top 6 peaks for 5° ≤ 2θ ≤ 70°, low angle first:
- (0 0 2), d = 4.807 Å, I 24
- (1 2 2), d = 2.442 Å, I 100
- (0 0 4), d = 2.403 Å, I 25
- (1 1 3), d = 2.349 Å, I 25
- (0 4 2), d = 1.964 Å, I 20
- (2 0 0), d = 1.885 Å, I 19